Starting from the PBE geometry in the Materials Project, the X-ray diffraction stick pattern of MgBi12AsO20 was calculated for Cu Ka.
Kinematic intensities with the Lorentz-polarization factor, no thermal factor.

Peak list (10 most intense, 2θ from 10° to 80°, by intensity)
two_theta  d_spacing  Rel. int.  hkl
26.9  3.318  100  3 -2 2
26.6  3.357  80  1 3 1
31.4  2.846  64  1 4 0
29.1  3.067  30  4 0 1
31.8  2.817  27  4 -1 2
32.2  2.779  26  2 -1 3
52.0  1.759  22  0 6 3
58.8  1.571  17  2 7 1
55.9  1.644  16  5 4 1
50.9  1.795  16  3 2 4

Atomic structure:
abc: 15.0736 15.0736 8.9681
angles: 90.00 90.00 120.00
Space group R3 (No. 146, hexagonal axes)
Asymmetric unit:
Mg 0.0000 0.0000 0.0000 x3
Bi 0.0113 0.2006 0.0919 x9
Bi 0.0499 0.4516 0.1598 x9
Bi 0.1010 0.6936 0.9658 x9
Bi 0.1549 0.1513 0.7531 x9
As 0.0000 0.0000 0.4128 x3
O 0.0000 0.0000 0.2216 x3
O 0.0000 0.0000 0.7698 x3
O 0.0005 0.6352 0.1587 x9
O 0.0338 0.8841 0.9899 x9
O 0.0451 0.3449 0.9807 x9
O 0.0670 0.5369 0.9405 x9
O 0.1264 0.0722 0.4720 x9
O 0.1691 0.4493 0.4818 x9



Starting from the PBE geometry in the Materials Project, the X-ray diffraction stick pattern of Na5Bi2As5O18 was calculated for Cu Ka.
Kinematic intensities with the Lorentz-polarization factor, no thermal factor.

Peak list (10 most intense, 2θ from 10° to 80°, by intensity)
two_theta  d_spacing  Rel. int.  hkl
10.6  8.356  100  0 1 -1
24.6  3.621  94  0 1 3
18.0  4.920  90  0 2 -1
28.4  3.138  85  0 3 -2
24.2  3.676  79  0 2 2
29.3  3.049  78  0 0 4
31.4  2.849  71  1 0 -4
16.9  5.242  68  -1 1 1
24.8  3.590  67  2 0 0
26.2  3.407  64  2 -1 0

Atomic structure:
abc: 7.185 10.246 12.313
angles: 97.39 92.21 90.92
Space group P-1 (No. 2)
Asymmetric unit:
Na 0.015 0.065 0.373 x2
Na 0.088 0.224 0.155 x2
Na 0.228 0.877 0.142 x2
Na 0.335 0.392 0.381 x2
Na 0.471 0.730 0.903 x2
Bi 0.230 0.373 0.894 x2
Bi 0.326 0.765 0.439 x2
As 0.169 0.581 0.659 x2
As 0.177 0.264 0.608 x2
As 0.225 0.021 0.892 x2
As 0.283 0.574 0.159 x2
As 0.490 0.064 0.304 x2
O 0.003 0.842 0.438 x2
O 0.012 0.317 0.338 x2
O 0.028 0.992 0.812 x2
O 0.066 0.419 0.608 x2
O 0.091 0.670 0.147 x2
O 0.230 0.175 0.969 x2
O 0.242 0.414 0.102 x2
O 0.262 0.894 0.965 x2
O 0.266 0.245 0.735 x2
O 0.266 0.568 0.786 x2
O 0.325 0.908 0.603 x2
O 0.325 0.956 0.341 x2
O 0.328 0.601 0.560 x2
O 0.351 0.583 0.296 x2
O 0.355 0.251 0.519 x2
O 0.394 0.197 0.258 x2
O 0.433 0.035 0.816 x2
O 0.449 0.643 0.083 x2



Starting from the PBE geometry in the Materials Project, the X-ray diffraction stick pattern of Bi2AsO6 was calculated for Cu Ka.
Kinematic intensities with the Lorentz-polarization factor, no thermal factor.

Peak list (10 most intense, 2θ from 10° to 80°, by intensity)
two_theta  d_spacing  Rel. int.  hkl
28.4  3.138  100  1 2 -1
26.5  3.364  70  2 0 -2
28.7  3.106  68  0 1 3
27.7  3.220  47  1 1 2
32.7  2.738  45  2 1 1
13.0  6.800  30  1 0 0
45.9  1.979  29  1 3 2
48.0  1.896  21  3 2 -3
45.4  1.998  18  2 1 -5
51.2  1.784  18  1 3 -4

Atomic structure:
abc: 7.158 7.093 10.907
angles: 90.00 108.19 90.00
Space group P2_1/c (No. 14)
Asymmetric unit:
Bi 0.096 0.132 0.322 x4
Bi 0.241 0.591 0.523 x4
As 0.370 0.072 0.671 x4
O 0.005 0.580 0.613 x4
O 0.073 0.721 0.856 x4
O 0.208 0.613 0.112 x4
O 0.321 0.137 0.811 x4
O 0.324 0.227 0.544 x4
O 0.387 0.513 0.773 x4



Starting from the PBE geometry in the Materials Project, the X-ray diffraction stick pattern of BiAsO4 was calculated for Cu Ka.
Kinematic intensities with the Lorentz-polarization factor, no thermal factor.

Peak list (10 most intense, 2θ from 10° to 80°, by intensity)
two_theta  d_spacing  Rel. int.  hkl
28.8  3.104  100  1 1 2
46.7  1.945  30  2 0 4
58.8  1.571  27  1 3 2
18.8  4.725  23  1 0 1
34.8  2.576  22  2 0 0
52.7  1.738  19  1 1 6
30.1  2.966  18  0 0 4
75.6  1.257  14  3 1 6
59.6  1.552  13  2 2 4
50.1  1.821  12  2 2 0

Atomic structure:
abc: 5.151 5.151 11.865
angles: 90.00 90.00 90.00
Space group I4_1/a (No. 88, origin choice 2)
Asymmetric unit:
Bi 0.000 0.250 0.125 x4
As 0.000 0.250 0.625 x4
O 0.144 0.497 0.702 x16